Entry 1:
This entry pairs a crystal structure of ErSbPt with its simulated X-ray powder pattern. Radiation: Cu Kα X-rays. Structure: a DFT-relaxed cell (GGA-PBE, the Materials Project).
Intensities are scaled so that the largest is 100.

Atomic structure:
```
3
Lattice="0.000 3.291 3.291 3.291 0.000 3.291 3.291 3.291 0.000" Properties=species:S:1:pos:R:3 pbc="T T T"
Er 0.000 0.000 0.000
Sb 3.291 3.291 3.291
Pt 1.645 1.645 1.645
```

Largest 6 diffraction maxima, by intensity, 2θ from 15° to 90°:
2θ = 38.70°, I 100; 2θ = 23.41°, I 41; 2θ = 70.04°, I 35; 2θ = 45.72°, I 21; 2θ = 55.88°, I 17; 2θ = 83.00°, I 11

=====

Entry 2:
This entry pairs a crystal structure of ErSi2Pt2 with its simulated X-ray powder pattern. Radiation: Cu Kα X-rays. Structure: a DFT-relaxed cell (GGA-PBE, the Materials Project).
Intensities are scaled so that the largest is 100.

Atomic structure:
```
10
Lattice="4.176 0.000 0.000 0.000 4.176 0.000 0.000 0.000 9.917" Properties=species:S:1:pos:R:3 pbc="T T T"
Er 1.044 1.044 2.445
Er 3.132 3.132 7.472
Si 1.044 1.044 6.306
Si 1.044 3.132 0.000
Si 3.132 1.044 0.000
Si 3.132 3.132 3.611
Pt 1.044 1.044 8.679
Pt 1.044 3.132 4.959
Pt 3.132 1.044 4.959
Pt 3.132 3.132 1.238
```

Largest 6 diffraction maxima, by intensity, 2θ from 15° to 90°:
2θ = 35.38°, I 100; 2θ = 31.62°, I 71; 2θ = 34.61°, I 70; 2θ = 43.34°, I 69; 2θ = 56.61°, I 35; 2θ = 27.93°, I 29

=====

Entry 3:
This entry pairs a crystal structure of ErSi2Pt2 with its simulated X-ray powder pattern. Radiation: Cu Kα X-rays. Structure: a DFT-relaxed cell (GGA-PBE, the Materials Project).
Intensities are scaled so that the largest is 100.

Atomic structure:
```
5
Lattice="-2.090 2.090 4.929 2.090 -2.090 4.929 2.090 2.090 -4.929" Properties=species:S:1:pos:R:3 pbc="T T T"
Er 0.000 0.000 0.000
Si 0.000 0.000 3.774
Si 0.000 0.000 6.084
Pt 2.090 0.000 2.464
Pt 0.000 2.090 2.464
```

Largest 6 diffraction maxima, by intensity, 2θ from 15° to 90°:
2θ = 35.42°, I 100; 2θ = 43.30°, I 34; 2θ = 74.31°, I 24; 2θ = 57.86°, I 20; 2θ = 18.00°, I 19; 2θ = 36.46°, I 18

=====

Entry 4:
This entry pairs a crystal structure of ErSi2Pt2 with its simulated X-ray powder pattern. Radiation: Cu Kα X-rays. Structure: a DFT-relaxed cell (GGA-PBE, the Materials Project).
Intensities are scaled so that the largest is 100.

Atomic structure:
```
5
Lattice="-2.098 2.098 5.051 2.098 -2.098 5.051 2.098 2.098 -5.051" Properties=species:S:1:pos:R:3 pbc="T T T"
Er 0.000 0.000 0.000
Si 2.098 0.000 2.526
Si 0.000 2.098 2.526
Pt 0.000 0.000 3.713
Pt 0.000 0.000 6.389
```

Largest 6 diffraction maxima, by intensity, 2θ from 15° to 90°:
2θ = 34.14°, I 100; 2θ = 30.12°, I 75; 2θ = 56.12°, I 49; 2θ = 43.12°, I 43; 2θ = 50.11°, I 21; 2θ = 68.21°, I 16

=====

Entry 5:
This entry pairs a crystal structure of ErZnPt with its simulated X-ray powder pattern. Radiation: Cu Kα X-rays. Structure: a DFT-relaxed cell (GGA-PBE, the Materials Project).
Intensities are scaled so that the largest is 100.

Atomic structure:
```
12
Lattice="6.927 0.000 0.000 0.000 4.126 0.000 0.000 0.000 8.174" Properties=species:S:1:pos:R:3 pbc="T T T"
Er 0.295 1.031 1.505
Er 3.168 3.094 5.592
Er 3.759 1.031 2.582
Er 6.631 3.094 6.669
Zn 0.946 1.031 4.601
Zn 2.517 3.094 0.514
Zn 4.410 1.031 7.660
Zn 5.980 3.094 3.573
Pt 1.723 3.094 3.084
Pt 1.740 1.031 7.171
Pt 5.187 3.094 1.003
Pt 5.203 1.031 5.090
```

Largest 6 diffraction maxima, by intensity, 2θ from 15° to 90°:
2θ = 35.58°, I 100; 2θ = 33.46°, I 38; 2θ = 43.89°, I 36; 2θ = 39.64°, I 35; 2θ = 45.10°, I 34; 2θ = 41.82°, I 33

=====

Entry 6:
This entry pairs a crystal structure of ErPu3 with its simulated X-ray powder pattern. Radiation: Cu Kα X-rays. Structure: a DFT-relaxed cell (GGA-PBE, the Materials Project).
Intensities are scaled so that the largest is 100.

Atomic structure:
```
8
Lattice="6.845 0.000 0.000 -3.422 5.928 0.000 0.000 0.000 5.498" Properties=species:S:1:pos:R:3 pbc="T T T"
Er 0.000 3.952 1.375
Er 3.422 1.976 4.124
Pu 0.000 1.944 4.124
Pu -1.739 4.956 4.124
Pu 1.684 0.972 1.375
Pu 1.739 4.956 4.124
Pu 5.161 0.972 1.375
Pu 3.422 3.983 1.375
```

Largest 6 diffraction maxima, by intensity, 2θ from 15° to 90°:
2θ = 34.37°, I 100; 2θ = 32.57°, I 26; 2θ = 30.15°, I 23; 2θ = 64.10°, I 23; 2θ = 59.28°, I 22; 2θ = 53.55°, I 19